For Tb5PmMg, a PBE-relaxed structure gives the computed powder diffractogram in this record (Cu Kα, 1.54184 Å).

Largest 10 diffraction maxima, in order of rising 2θ, 5° ≤ 2θ ≤ 70°:
(hkl)  2theta  I (rel.)
1 0 1  16.2  207
0 1 3  28.2  233
1 0 3  28.4  373
0 2 2  31.9  1000
2 1 1  32.4  656
2 0 2  32.7  280
0 0 4  33.0  170
2 3 1  51.5  184
2 2 4  52.4  150
4 2 2  67.8  130

Cell and atoms:
```
data_Tb5PmMg
_space_group_name_H-M_alt 'I m m 2'
_space_group_IT_number 44
_cell_length_a 6.3552
_cell_length_b 6.5509
_cell_length_c 10.8454
_cell_angle_alpha 90.00
_cell_angle_beta 90.00
_cell_angle_gamma 90.00
loop_
_space_group_symop_operation_xyz
'x,y,z'
'-x,-y,z'
'-x,y,z'
'x,-y,z'
'x+1/2,y+1/2,z+1/2'
'-x+1/2,-y+1/2,z+1/2'
'-x+1/2,y+1/2,z+1/2'
'x+1/2,-y+1/2,z+1/2'
loop_
_atom_site_label
_atom_site_type_symbol
_atom_site_fract_x
_atom_site_fract_y
_atom_site_fract_z
_atom_site_occupancy
Tb1 Tb 0.0000 0.0000 0.0000 1
Tb2 Tb 0.0000 0.2668 0.2517 1
Tb3 Tb 0.2390 0.5000 0.9661 1
Pm1 Pm 0.0000 0.5000 0.6174 1
Mg1 Mg 0.0000 0.0000 0.7222 1
```



For Ce2PrH, a PBE-relaxed structure gives the computed powder diffractogram in this record (Cu Kα, 1.54184 Å).

Largest 10 diffraction maxima, in order of rising 2θ, 5° ≤ 2θ ≤ 70°:
(hkl)  2theta  I (rel.)
0 0 9  27.8  622
1 0 1  31.0  1000
0 1 2  31.5  260
1 0 7  37.9  231
0 1 8  39.8  589
1 0 10  44.2  319
1 1 0  54.8  287
1 1 9  62.5  376
0 1 17  63.4  164
0 2 1  64.3  123

Cell and atoms:
```
data_Ce2PrH
_space_group_name_H-M_alt 'R -3 m'
_space_group_IT_number 166
_space_group_name_Hall '-R 3 2"'
_cell_length_a 3.3500
_cell_length_b 3.3500
_cell_length_c 28.9255
_cell_angle_alpha 90.00
_cell_angle_beta 90.00
_cell_angle_gamma 120.00
loop_
_atom_site_label
_atom_site_type_symbol
_atom_site_fract_x
_atom_site_fract_y
_atom_site_fract_z
_atom_site_occupancy
Ce1 Ce 0.0000 0.0000 0.1138 1
Pr1 Pr 0.0000 0.0000 0.0000 1
H1 H 0.0000 0.0000 0.5000 1
```



For AcPr2Tl2, a PBE-relaxed structure gives the computed powder diffractogram in this record (Cu Kα, 1.54184 Å).

Largest 10 diffraction maxima, in order of rising 2θ, 5° ≤ 2θ ≤ 70°:
(hkl)  2theta  I (rel.)
0 2 0  25.6  182
1 1 1  25.8  380
2 0 -2  28.4  1000
2 0 1  35.7  209
1 1 2  35.9  530
2 2 -1  36.5  539
3 1 0  45.2  174
1 3 -3  52.1  374
0 4 0  52.6  192
4 2 -3  60.8  239

Cell and atoms:
```
data_AcPr2Tl2
_space_group_name_H-M_alt 'C 1 2/m 1'
_space_group_IT_number 12
_cell_length_a 6.9685
_cell_length_b 6.9586
_cell_length_c 8.0484
_cell_angle_alpha 90.00
_cell_angle_beta 115.56
_cell_angle_gamma 90.00
loop_
_space_group_symop_operation_xyz
'x,y,z'
'-x,-y,-z'
'-x,y,-z'
'x,-y,z'
'x+1/2,y+1/2,z'
'-x+1/2,-y+1/2,-z'
'-x+1/2,y+1/2,-z'
'x+1/2,-y+1/2,z'
loop_
_atom_site_label
_atom_site_type_symbol
_atom_site_fract_x
_atom_site_fract_y
_atom_site_fract_z
_atom_site_occupancy
Ac1 Ac 0.0000 0.0000 0.0000 1
Pr1 Pr 0.0000 0.2498 0.5000 1
Tl1 Tl 0.1005 0.5000 0.2001 1
```



For US4Cl4, a PBE-relaxed structure gives the computed powder diffractogram in this record (Cu Kα, 1.54184 Å).

Largest 10 diffraction maxima, in order of rising 2θ, 5° ≤ 2θ ≤ 70°:
(hkl)  2theta  I (rel.)
0 0 1  8.3  1000
0 1 0  11.5  379
0 1 1  14.0  828
0 1 -1  14.3  820
0 0 2  16.6  266
0 2 0  23.1  224
0 0 3  25.0  353
1 -1 0  27.1  340
1 2 0  29.1  225
1 -2 1  36.4  231

Cell and atoms:
```
data_US4Cl4
_space_group_name_H-M_alt 'P -1'
_space_group_IT_number 2
_cell_length_a 4.0367
_cell_length_b 7.8451
_cell_length_c 10.7037
_cell_angle_alpha 88.48
_cell_angle_beta 88.85
_cell_angle_gamma 79.21
loop_
_space_group_symop_operation_xyz
'x,y,z'
'-x,-y,-z'
loop_
_atom_site_label
_atom_site_type_symbol
_atom_site_fract_x
_atom_site_fract_y
_atom_site_fract_z
_atom_site_occupancy
U1 U 0.0000 0.0000 0.0000 1
S1 S 0.3313 0.4428 0.6337 1
S2 S 0.3596 0.4016 0.3819 1
Cl1 Cl 0.0057 0.0166 0.7648 1
Cl2 Cl 0.4138 0.2358 0.0038 1
```



For Cs3BS3, a PBE-relaxed structure gives the computed powder diffractogram in this record (Cu Kα, 1.54184 Å).

Largest 10 diffraction maxima, in order of rising 2θ, 5° ≤ 2θ ≤ 70°:
(hkl)  2theta  I (rel.)
2 0 -2  18.6  569
2 1 -1  21.0  795
1 1 2  21.7  649
2 0 2  23.6  694
0 1 3  23.9  894
1 2 0  27.7  840
2 0 -4  27.8  1000
3 1 0  28.3  741
1 2 1  29.0  663
1 0 4  29.7  711

Cell and atoms:
```
data_Cs3BS3
_space_group_name_H-M_alt 'P 1 21/c 1'
_space_group_IT_number 14
_cell_length_a 10.9999
_cell_length_b 6.7486
_cell_length_c 13.8289
_cell_angle_alpha 90.00
_cell_angle_beta 103.77
_cell_angle_gamma 90.00
loop_
_space_group_symop_operation_xyz
'x,y,z'
'-x,-y,-z'
'-x,y+1/2,-z+1/2'
'x,-y+1/2,z+1/2'
loop_
_atom_site_label
_atom_site_type_symbol
_atom_site_fract_x
_atom_site_fract_y
_atom_site_fract_z
_atom_site_occupancy
Cs1 Cs 0.0276 0.2095 0.3578 1
Cs2 Cs 0.2492 0.6409 0.4919 1
Cs3 Cs 0.4050 0.0555 0.3057 1
B1 B 0.2351 0.1215 0.6273 1
S1 S 0.0984 0.2163 0.1212 1
S2 S 0.2827 0.5605 0.2290 1
S3 S 0.3270 0.1451 0.5329 1
```



For PrSm4DyEr2, a PBE-relaxed structure gives the computed powder diffractogram in this record (Cu Kα, 1.54184 Å).

Largest 10 diffraction maxima, in order of rising 2θ, 5° ≤ 2θ ≤ 70°:
(hkl)  2theta  I (rel.)
0 4 0  26.8  448
4 0 0  30.1  1000
4 4 0  40.8  882
8 0 -2  53.5  200
0 8 0  55.3  61
8 4 -2  60.9  271
8 0 -4  62.6  83
4 8 0  64.3  230
8 4 -4  69.4  122
8 4 0  69.5  61

Cell and atoms:
```
data_PrSm4DyEr2
_space_group_name_H-M_alt 'C 1 2/c 1'
_space_group_IT_number 15
_cell_length_a 13.6931
_cell_length_b 13.2869
_cell_length_c 6.8546
_cell_angle_alpha 90.00
_cell_angle_beta 120.03
_cell_angle_gamma 90.00
loop_
_space_group_symop_operation_xyz
'x,y,z'
'-x,-y,-z'
'-x,y,-z+1/2'
'x,-y,z+1/2'
'x+1/2,y+1/2,z'
'-x+1/2,-y+1/2,-z'
'-x+1/2,y+1/2,-z+1/2'
'x+1/2,-y+1/2,z+1/2'
loop_
_atom_site_label
_atom_site_type_symbol
_atom_site_fract_x
_atom_site_fract_y
_atom_site_fract_z
_atom_site_occupancy
Pr1 Pr 0.2500 0.2500 0.0000 1
Sm1 Sm 0.0001 0.2487 0.9999 1
Sm2 Sm 0.2492 0.0028 0.4923 1
Dy1 Dy 0.0000 0.5000 0.0000 1
Er1 Er 0.0000 0.0000 0.0000 1
Er2 Er 0.2500 0.2500 0.5000 1
```



For Dy3ErIr4, a PBE-relaxed structure gives the computed powder diffractogram in this record (Cu Kα, 1.54184 Å).

Largest 7 diffraction maxima, in order of rising 2θ, 5° ≤ 2θ ≤ 70°:
(hkl)  2theta  I (rel.)
0 1 2  25.6  8
0 2 0  36.6  536
1 1 2  37.5  1000
0 2 4  52.7  190
2 0 0  55.5  82
1 3 2  66.5  380
2 2 0  68.3  175

Cell and atoms:
```
data_Dy3ErIr4
_space_group_name_H-M_alt 'P m m m'
_space_group_IT_number 47
_cell_length_a 3.3108
_cell_length_b 4.9129
_cell_length_c 9.8256
_cell_angle_alpha 90.00
_cell_angle_beta 90.00
_cell_angle_gamma 90.00
loop_
_space_group_symop_operation_xyz
'x,y,z'
'-x,-y,-z'
'-x,-y,z'
'x,y,-z'
'x,-y,-z'
'-x,y,z'
'-x,y,-z'
'x,-y,z'
loop_
_atom_site_label
_atom_site_type_symbol
_atom_site_fract_x
_atom_site_fract_y
_atom_site_fract_z
_atom_site_occupancy
Dy1 Dy 0.0000 0.0000 0.0000 1
Dy2 Dy 0.0000 0.5000 0.2508 1
Er1 Er 0.0000 0.0000 0.5000 1
Ir1 Ir 0.5000 0.0000 0.2520 1
Ir2 Ir 0.5000 0.5000 0.0000 1
Ir3 Ir 0.5000 0.5000 0.5000 1
```



For GaBi2ClO4, a PBE-relaxed structure gives the computed powder diffractogram in this record (Cu Kα, 1.54184 Å).

Largest 10 diffraction maxima, in order of rising 2θ, 5° ≤ 2θ ≤ 70°:
(hkl)  2theta  I (rel.)
0 0 1  10.6  931
2 0 -1  17.8  719
2 0 0  19.8  310
0 0 2  21.3  383
2 0 -2  21.7  443
2 0 -3  29.3  475
1 1 1  31.7  1000
1 1 -2  32.7  344
2 0 2  35.3  488
3 1 -2  38.7  848

Cell and atoms:
```
data_GaBi2ClO4
_space_group_name_H-M_alt 'C 1 2/m 1'
_space_group_IT_number 12
_cell_length_a 10.0400
_cell_length_b 3.3877
_cell_length_c 9.3119
_cell_angle_alpha 90.00
_cell_angle_beta 116.45
_cell_angle_gamma 90.00
loop_
_space_group_symop_operation_xyz
'x,y,z'
'-x,-y,-z'
'-x,y,-z'
'x,-y,z'
'x+1/2,y+1/2,z'
'-x+1/2,-y+1/2,-z'
'-x+1/2,y+1/2,-z'
'x+1/2,-y+1/2,z'
loop_
_atom_site_label
_atom_site_type_symbol
_atom_site_fract_x
_atom_site_fract_y
_atom_site_fract_z
_atom_site_occupancy
Ga1 Ga 0.0000 0.0000 0.0000 1
Bi1 Bi 0.1928 0.0000 0.7888 1
Cl1 Cl 0.0000 0.5000 0.5000 1
O1 O 0.1158 0.5000 0.9564 1
O2 O 0.1586 0.0000 0.2099 1
```



For BaInH6Pd2, a PBE-relaxed structure gives the computed powder diffractogram in this record (Cu Kα, 1.54184 Å).

Largest 10 diffraction maxima, in order of rising 2θ, 5° ≤ 2θ ≤ 70°:
(hkl)  2theta  I (rel.)
1 1 0  14.0  114
2 2 0  28.3  183
0 0 2  30.6  503
0 4 0  31.8  110
2 2 1  32.3  1000
0 4 1  35.4  377
2 2 2  42.2  118
0 6 1  51.1  119
2 2 3  55.5  212
2 6 2  63.9  125

Cell and atoms:
```
data_BaInH6Pd2
_space_group_name_H-M_alt 'C m c m'
_space_group_IT_number 63
_space_group_name_Hall '-C 2c 2'
_cell_length_a 7.6115
_cell_length_b 11.2519
_cell_length_c 5.8428
_cell_angle_alpha 90.00
_cell_angle_beta 90.00
_cell_angle_gamma 90.00
loop_
_atom_site_label
_atom_site_type_symbol
_atom_site_fract_x
_atom_site_fract_y
_atom_site_fract_z
_atom_site_occupancy
Ba1 Ba 0.0000 0.1534 0.2500 1
In1 In 0.0000 0.3531 0.7500 1
H1 H 0.0000 0.3884 0.0951 1
H2 H 0.1800 0.2065 0.7500 1
H3 H 0.1986 0.0000 0.0000 1
Pd1 Pd 0.1952 0.4302 0.2500 1
```



For Sr3U3AgAs8, a PBE-relaxed structure gives the computed powder diffractogram in this record (Cu Kα, 1.54184 Å).

Largest 10 diffraction maxima, in order of rising 2θ, 5° ≤ 2θ ≤ 70°:
(hkl)  2theta  I (rel.)
0 0 3  12.2  412
0 2 1  25.3  128
0 2 4  30.0  1000
0 2 7  38.4  127
2 0 8  41.8  373
2 2 0  44.0  357
2 2 3  45.9  100
4 0 4  54.2  197
0 4 8  62.3  114
2 2 12  69.1  147

Cell and atoms:
```
data_Sr3U3AgAs8
_space_group_name_H-M_alt 'R -3 m'
_space_group_IT_number 166
_space_group_name_Hall '-R 3 2"'
_cell_length_a 8.2247
_cell_length_b 8.2247
_cell_length_c 21.7527
_cell_angle_alpha 90.00
_cell_angle_beta 90.00
_cell_angle_gamma 120.00
loop_
_atom_site_label
_atom_site_type_symbol
_atom_site_fract_x
_atom_site_fract_y
_atom_site_fract_z
_atom_site_occupancy
Sr1 Sr 0.0000 0.5000 0.0000 1
U1 U 0.0000 0.5000 0.5000 1
Ag1 Ag 0.0000 0.0000 0.5000 1
As1 As 0.0000 0.0000 0.2396 1
As2 As 0.0136 0.5068 0.7613 1
```